# 1
This entry pairs a crystal structure of Pm2SiO5 with its simulated powder diffractogram. Radiation: Cu Ka. Structure: a structure optimized by DFT (GGA-PBE).
No peak broadening, texture or thermal motion is included.

Structural model:
```
data_Pm2SiO5
_symmetry_space_group_name_H-M 'P 1'
_symmetry_Int_Tables_number 1
_symmetry_space_group_name_Hall 'P 1'
_cell_length_a 8.187
_cell_length_b 8.187
_cell_length_c 10.823
_cell_angle_alpha 118.65
_cell_angle_beta 118.65
_cell_angle_gamma 50.49
loop_
_atom_site_label
_atom_site_type_symbol
_atom_site_fract_x
_atom_site_fract_y
_atom_site_fract_z
Pm1 Pm 0.025 0.264 0.835
Pm2 Pm 0.211 0.716 0.536
Pm3 Pm 0.264 0.025 0.335
Pm4 Pm 0.284 0.789 0.964
Pm5 Pm 0.716 0.211 0.036
Pm6 Pm 0.736 0.975 0.665
Pm7 Pm 0.789 0.284 0.464
Pm8 Pm 0.975 0.736 0.165
Si1 Si 0.231 0.407 0.693
Si2 Si 0.407 0.231 0.193
Si3 Si 0.593 0.769 0.807
Si4 Si 0.769 0.593 0.307
O1 O 0.061 0.349 0.673
O2 O 0.075 0.892 0.104
O3 O 0.100 0.661 0.682
O4 O 0.108 0.925 0.396
O5 O 0.235 0.368 0.067
O6 O 0.339 0.900 0.818
O7 O 0.349 0.061 0.173
O8 O 0.368 0.235 0.567
O9 O 0.405 0.408 0.856
O10 O 0.408 0.405 0.356
O11 O 0.592 0.595 0.644
O12 O 0.595 0.592 0.144
O13 O 0.632 0.765 0.433
O14 O 0.651 0.939 0.827
O15 O 0.661 0.100 0.182
O16 O 0.765 0.632 0.933
O17 O 0.892 0.075 0.604
O18 O 0.900 0.339 0.318
O19 O 0.925 0.108 0.896
O20 O 0.939 0.651 0.327
```

Top 8 peaks for 2θ from 15° to 90°, in order of falling intensity:
2θ/deg	I/Imax
29.58	100.0
22.11	99.2
28.46	82.8
27.33	63.7
24.43	61.4
34.13	43.7
51.01	40.0
29.09	37.7

# 2
This entry pairs a crystal structure of Ca17Ac2La2 with its simulated powder diffractogram. Radiation: Cu Ka. Structure: a structure optimized by DFT (GGA-PBE).
No peak broadening, texture or thermal motion is included.

Structural model:
```
data_Ca17Ac2La2
_symmetry_space_group_name_H-M 'P 1'
_symmetry_Int_Tables_number 1
_symmetry_space_group_name_Hall 'P 1'
_cell_length_a 9.593
_cell_length_b 9.593
_cell_length_c 10.408
_cell_angle_alpha 100.77
_cell_angle_beta 100.77
_cell_angle_gamma 99.11
loop_
_atom_site_label
_atom_site_type_symbol
_atom_site_fract_x
_atom_site_fract_y
_atom_site_fract_z
Ca1 Ca 0.000 0.000 0.000
Ca2 Ca 0.021 0.424 0.600
Ca3 Ca 0.033 0.033 0.398
Ca4 Ca 0.052 0.596 0.973
Ca5 Ca 0.092 0.830 0.689
Ca6 Ca 0.176 0.678 0.362
Ca7 Ca 0.237 0.237 0.813
Ca8 Ca 0.331 0.955 0.182
Ca9 Ca 0.384 0.659 0.846
Ca10 Ca 0.424 0.021 0.600
Ca11 Ca 0.428 0.428 0.150
Ca12 Ca 0.596 0.052 0.973
Ca13 Ca 0.659 0.384 0.846
Ca14 Ca 0.678 0.176 0.362
Ca15 Ca 0.721 0.721 0.736
Ca16 Ca 0.830 0.092 0.689
Ca17 Ca 0.955 0.331 0.182
Ac1 Ac 0.400 0.400 0.503
Ac2 Ac 0.745 0.745 0.119
La1 La 0.578 0.785 0.396
La2 La 0.785 0.578 0.396
```

Top 8 peaks for 2θ from 15° to 90°, in order of falling intensity:
2θ/deg	I/Imax
25.12	100.0
28.71	75.3
30.32	68.2
30.56	61.0
29.41	57.9
23.20	52.8
27.14	36.9
32.22	33.7

# 3
This entry pairs a crystal structure of CoTe4Cl with its simulated powder diffractogram. Radiation: Cu Ka. Structure: a structure optimized by DFT (GGA-PBE).
No peak broadening, texture or thermal motion is included.

Structural model:
```
data_CoTe4Cl
_symmetry_space_group_name_H-M 'P 1'
_symmetry_Int_Tables_number 1
_symmetry_space_group_name_Hall 'P 1'
_cell_length_a 6.694
_cell_length_b 7.914
_cell_length_c 8.623
_cell_angle_alpha 62.74
_cell_angle_beta 79.86
_cell_angle_gamma 67.29
loop_
_atom_site_label
_atom_site_type_symbol
_atom_site_fract_x
_atom_site_fract_y
_atom_site_fract_z
Co1 Co 0.250 0.041 0.418
Co2 Co 0.750 0.959 0.582
Te1 Te 0.110 0.094 0.128
Te2 Te 0.148 0.743 0.624
Te3 Te 0.352 0.133 0.624
Te4 Te 0.389 0.278 0.128
Te5 Te 0.611 0.722 0.872
Te6 Te 0.648 0.867 0.376
Te7 Te 0.852 0.257 0.376
Te8 Te 0.890 0.906 0.872
Cl1 Cl 0.250 0.553 0.393
Cl2 Cl 0.750 0.447 0.607
```

Top 8 peaks for 2θ from 15° to 90°, in order of falling intensity:
2θ/deg	I/Imax
32.92	100.0
27.33	71.1
28.28	52.2
29.83	39.5
36.17	33.4
22.90	32.0
35.05	29.7
27.40	29.1

# 4
This entry pairs a crystal structure of K2Rb with its simulated powder diffractogram. Radiation: Cu Ka. Structure: a structure optimized by DFT (GGA-PBE).
No peak broadening, texture or thermal motion is included.

Structural model:
```
data_K2Rb
_symmetry_space_group_name_H-M 'P 1'
_symmetry_Int_Tables_number 1
_symmetry_space_group_name_Hall 'P 1'
_cell_length_a 9.594
_cell_length_b 9.594
_cell_length_c 9.594
_cell_angle_alpha 148.99
_cell_angle_beta 148.99
_cell_angle_gamma 44.42
loop_
_atom_site_label
_atom_site_type_symbol
_atom_site_fract_x
_atom_site_fract_y
_atom_site_fract_z
K1 K 0.173 0.173 0.000
K2 K 0.827 0.827 0.000
Rb1 Rb 0.500 0.500 0.000
```

Top 8 peaks for 2θ from 15° to 90°, in order of falling intensity:
2θ/deg	I/Imax
22.94	100.0
24.55	42.5
42.25	36.4
39.28	22.2
34.99	16.2
18.00	13.6
46.87	12.9
30.19	11.9

Copy entry 2 word for word.
This entry pairs a crystal structure of Ca17Ac2La2 with its simulated powder diffractogram. Radiation: Cu Ka. Structure: a structure optimized by DFT (GGA-PBE).
No peak broadening, texture or thermal motion is included.

Structural model:
```
data_Ca17Ac2La2
_symmetry_space_group_name_H-M 'P 1'
_symmetry_Int_Tables_number 1
_symmetry_space_group_name_Hall 'P 1'
_cell_length_a 9.593
_cell_length_b 9.593
_cell_length_c 10.408
_cell_angle_alpha 100.77
_cell_angle_beta 100.77
_cell_angle_gamma 99.11
loop_
_atom_site_label
_atom_site_type_symbol
_atom_site_fract_x
_atom_site_fract_y
_atom_site_fract_z
Ca1 Ca 0.000 0.000 0.000
Ca2 Ca 0.021 0.424 0.600
Ca3 Ca 0.033 0.033 0.398
Ca4 Ca 0.052 0.596 0.973
Ca5 Ca 0.092 0.830 0.689
Ca6 Ca 0.176 0.678 0.362
Ca7 Ca 0.237 0.237 0.813
Ca8 Ca 0.331 0.955 0.182
Ca9 Ca 0.384 0.659 0.846
Ca10 Ca 0.424 0.021 0.600
Ca11 Ca 0.428 0.428 0.150
Ca12 Ca 0.596 0.052 0.973
Ca13 Ca 0.659 0.384 0.846
Ca14 Ca 0.678 0.176 0.362
Ca15 Ca 0.721 0.721 0.736
Ca16 Ca 0.830 0.092 0.689
Ca17 Ca 0.955 0.331 0.182
Ac1 Ac 0.400 0.400 0.503
Ac2 Ac 0.745 0.745 0.119
La1 La 0.578 0.785 0.396
La2 La 0.785 0.578 0.396
```

Top 8 peaks for 2θ from 15° to 90°, in order of falling intensity:
2θ/deg	I/Imax
25.12	100.0
28.71	75.3
30.32	68.2
30.56	61.0
29.41	57.9
23.20	52.8
27.14	36.9
32.22	33.7